Starting from a DFT-relaxed cell (GGA+U, Alexandria), the powder diffraction line list of LaVSeO2 was calculated for Cu Kα (weighted mean of Kα1 and Kα2).
Lines closer than 0.1° are merged.

Peak list (10 most intense, 10° ≤ 2θ ≤ 90°, in order of rising 2θ)
2θ (°), I_rel, index
15.49, 59, 0 0 1
27.15, 93, 1 0 1
31.55, 74, 1 1 0
35.33, 40, 1 1 -1
38.66, 100, 1 0 2
45.22, 44, 2 0 0
53.55, 28, 2 1 1
58.31, 15, 1 1 3
60.97, 51, 2 1 -2
65.88, 13, 2 2 0

Structural model:
```
LaVSeO2
1.0
4.010 0.000 0.000
0.000 4.010 0.000
-0.007 0.000 5.721
La V Se O
1 1 1 2
direct
0.000 0.000 0.000
0.499 0.500 0.682
0.501 0.500 0.232
0.499 0.000 0.750
0.999 0.500 0.750
```